1.
Theoretical powder X-ray diffraction pattern
Compound: Mg2TiO4
Radiation: Cu Kα, 1.54184 Å
Structure: a cell relaxed with GGA-PBE
Lines closer than 0.1° are merged.

Top 12 peaks for 10° ≤ 2θ ≤ 80°, by angle:
| (hkl) | two_theta | I (rel.) |
| --- | --- | --- |
| 1 0 1 | 18.05 | 766 |
| 2 0 0 | 29.68 | 306 |
| 1 2 1 | 34.90 | 1000 |
| 2 1 1 | 34.98 | 265 |
| 2 2 0 | 42.44 | 724 |
| 0 2 4 | 52.56 | 60 |
| 1 0 5 | 56.04 | 283 |
| 3 2 1 | 56.16 | 258 |
| 0 4 0 | 61.54 | 697 |
| 4 0 0 | 61.73 | 139 |
| 1 2 5 | 64.66 | 86 |
| 1 4 3 | 72.70 | 74 |

Structural model:
a b c (Å): 6.011 6.031 8.533
angles (deg): 90.00 90.00 90.00
Space group Imma (No. 74)
Unique sites:
1 Mg 0.000 0.250 0.136 [4 per cell]
2 Mg 0.250 0.250 0.750 [4 per cell]
3 Ti 0.000 0.000 0.500 [4 per cell]
4 O 0.000 0.015 0.727 [8 per cell]
5 O 0.224 0.250 0.502 [8 per cell]

=====

2.
Theoretical powder X-ray diffraction pattern
Compound: CeAl2Ni
Radiation: Cu Kα, 1.54184 Å
Structure: a cell relaxed with GGA-PBE
Lines closer than 0.1° are merged.

Top 12 peaks for 10° ≤ 2θ ≤ 80°, by angle:
| (hkl) | two_theta | I (rel.) |
| --- | --- | --- |
| 0 2 1 | 21.67 | 153 |
| 1 1 0 | 23.14 | 611 |
| 0 0 2 | 25.94 | 482 |
| 1 1 2 | 35.03 | 931 |
| 1 3 1 | 36.55 | 1000 |
| 0 4 1 | 37.55 | 568 |
| 2 0 0 | 43.64 | 300 |
| 2 0 2 | 51.46 | 146 |
| 1 3 3 | 53.00 | 291 |
| 0 4 3 | 53.75 | 130 |
| 2 4 1 | 58.90 | 437 |
| 1 7 0 | 68.07 | 131 |

Structural model:
a b c (Å): 4.149 10.222 6.870
angles (deg): 90.00 90.00 90.00
Space group Cmcm (No. 63)
Unique sites:
1 Ce 0.000 0.062 0.250 [4 per cell]
2 Al 0.000 0.344 0.054 [8 per cell]
3 Ni 0.000 0.214 0.750 [4 per cell]

=====

3.
Theoretical powder X-ray diffraction pattern
Compound: HPb2IO2
Radiation: Cu Kα, 1.54184 Å
Structure: a cell relaxed with GGA-PBE
Lines closer than 0.1° are merged.

Top 12 peaks for 10° ≤ 2θ ≤ 80°, by angle:
| (hkl) | two_theta | I (rel.) |
| --- | --- | --- |
| 2 0 0 | 11.90 | 316 |
| 1 1 0 | 21.59 | 1000 |
| 4 0 -2 | 25.21 | 754 |
| 2 0 2 | 25.46 | 540 |
| 3 1 0 | 27.50 | 580 |
| 0 0 3 | 28.41 | 353 |
| 1 1 2 | 30.09 | 407 |
| 6 0 0 | 36.23 | 304 |
| 5 1 -2 | 36.62 | 338 |
| 5 1 0 | 36.80 | 445 |
| 0 2 0 | 42.21 | 278 |
| 6 2 0 | 56.84 | 251 |

Structural model:
a b c (Å): 15.735 4.282 9.970
angles (deg): 90.00 109.03 90.00
Space group C2/m (No. 12)
Unique sites:
1 H 0.192 0.000 0.360 [4 per cell]
2 Pb 0.166 0.000 0.050 [4 per cell]
3 Pb 0.175 0.000 0.653 [4 per cell]
4 I 0.011 0.000 0.271 [4 per cell]
5 O 0.248 0.000 0.334 [4 per cell]
6 O 0.249 0.500 0.108 [4 per cell]

=====

4.
Theoretical powder X-ray diffraction pattern
Compound: Tb2HfS5
Radiation: Cu Kα, 1.54184 Å
Structure: a cell relaxed with GGA-PBE
Lines closer than 0.1° are merged.

Top 12 peaks for 10° ≤ 2θ ≤ 80°, by angle:
| (hkl) | two_theta | I (rel.) |
| --- | --- | --- |
| 0 0 2 | 24.48 | 485 |
| 3 0 1 | 26.15 | 1000 |
| 1 2 1 | 27.14 | 692 |
| 2 2 0 | 27.66 | 605 |
| 3 2 1 | 35.03 | 240 |
| 2 2 2 | 37.27 | 641 |
| 4 2 0 | 38.81 | 249 |
| 2 1 3 | 42.06 | 160 |
| 3 0 3 | 44.13 | 193 |
| 0 4 0 | 46.77 | 262 |
| 5 2 1 | 47.40 | 456 |
| 3 4 1 | 54.37 | 283 |

Structural model:
a b c (Å): 11.574 7.769 7.271
angles (deg): 90.00 90.00 90.00
Space group Pnma (No. 62)
Unique sites:
1 Tb 0.178 0.002 0.024 [8 per cell]
2 Hf 0.006 0.750 0.575 [4 per cell]
3 S 0.004 0.750 0.946 [4 per cell]
4 S 0.093 0.036 0.661 [8 per cell]
5 S 0.181 0.750 0.334 [4 per cell]
6 S 0.207 0.250 0.312 [4 per cell]

=====

5.
Theoretical powder X-ray diffraction pattern
Compound: Tb12Co7
Radiation: Cu Kα, 1.54184 Å
Structure: a cell relaxed with GGA-PBE
Lines closer than 0.1° are merged.

Top 12 peaks for 10° ≤ 2θ ≤ 80°, by angle:
| (hkl) | two_theta | I (rel.) |
| --- | --- | --- |
| 2 0 0 | 26.31 | 346 |
| 0 1 3 | 30.76 | 352 |
| 1 3 1 | 31.44 | 408 |
| 2 3 -1 | 32.52 | 498 |
| 0 4 1 | 33.22 | 625 |
| 2 1 -4 | 33.46 | 1000 |
| 1 4 -1 | 33.56 | 554 |
| 3 1 -3 | 33.97 | 408 |
| 1 3 -3 | 34.22 | 717 |
| 3 2 -2 | 36.24 | 549 |
| 3 0 0 | 39.93 | 297 |
| 2 5 -5 | 58.39 | 312 |

Structural model:
a b c (Å): 8.319 11.304 11.081
angles (deg): 90.00 125.48 90.00
Space group P2_1/c (No. 14)
Unique sites:
1 Tb 0.002 0.160 0.342 [4 per cell]
2 Tb 0.238 0.570 0.809 [4 per cell]
3 Tb 0.251 0.199 0.176 [4 per cell]
4 Tb 0.266 0.706 0.539 [4 per cell]
5 Tb 0.268 0.071 0.914 [4 per cell]
6 Tb 0.342 0.504 0.146 [4 per cell]
7 Co 0.000 0.000 0.000 [2 per cell]
8 Co 0.004 0.100 0.600 [4 per cell]
9 Co 0.401 0.689 0.341 [4 per cell]
10 Co 0.406 0.178 0.472 [4 per cell]